Record 1
Theoretical powder X-ray diffraction pattern of Tb2SmHoEr2 for Cu Kα, 1.54184 Å, from a GGA-PBE-relaxed structure.

Cell and atoms:
```
data_Tb2SmHoEr2
_cell_length_a 6.0616
_cell_length_b 18.1125
_cell_length_c 3.5133
_cell_angle_alpha 90.00
_cell_angle_beta 90.00
_cell_angle_gamma 90.00
_symmetry_space_group_name_H-M 'P n n m'
_symmetry_Int_Tables_number 58
loop_
_symmetry_equiv_pos_as_xyz
'x,y,z'
'-x,-y,-z'
'-x,-y,z'
'x,y,-z'
'x+1/2,-y+1/2,-z+1/2'
'-x+1/2,y+1/2,z+1/2'
'-x+1/2,y+1/2,-z+1/2'
'x+1/2,-y+1/2,z+1/2'
loop_
_atom_site_label
_atom_site_fract_x
_atom_site_fract_y
_atom_site_fract_z
Tb1 0.1659 0.1569 0.0000
Sm1 0.0000 0.5000 0.5000
Ho1 0.0000 0.0000 0.5000
Er1 0.1659 0.3427 0.0000
```

Top 6 peaks for 2θ = 10–90°, low angle first:
(hkl), 2θ (°), I_rel
0 6 0, 29.59, 657
2 1 0, 29.83, 1000
1 2 1, 31.06, 798
1 4 1, 35.60, 827
2 5 0, 38.69, 682
3 6 1, 61.18, 426

***

Record 2
Theoretical powder X-ray diffraction pattern of TbSm4HoEr2 for Cu Kα, 1.54184 Å, from a GGA-PBE-relaxed structure.

Cell and atoms:
```
data_TbSm4HoEr2
_cell_length_a 5.0610
_cell_length_b 5.0756
_cell_length_c 10.0548
_cell_angle_alpha 90.00
_cell_angle_beta 90.00
_cell_angle_gamma 90.00
_symmetry_space_group_name_H-M 'P m m m'
_symmetry_Int_Tables_number 47
loop_
_symmetry_equiv_pos_as_xyz
'x,y,z'
'-x,-y,-z'
'-x,-y,z'
'x,y,-z'
'x,-y,-z'
'-x,y,z'
'-x,y,-z'
'x,-y,z'
loop_
_atom_site_label
_atom_site_fract_x
_atom_site_fract_y
_atom_site_fract_z
Tb1 0.0000 0.0000 0.0000
Sm1 0.0000 0.5000 0.2503
Sm2 0.5000 0.0000 0.2507
Ho1 0.5000 0.5000 0.5000
Er1 0.0000 0.0000 0.5000
Er2 0.5000 0.5000 0.0000
```

Top 6 peaks for 2θ = 10–90°, low angle first:
(hkl), 2θ (°), I_rel
1 1 2, 30.64, 1000
0 2 0, 35.37, 171
2 0 0, 35.47, 169
0 0 4, 35.72, 166
2 0 4, 51.19, 240
1 3 2, 60.57, 145

***

Record 3
Theoretical powder X-ray diffraction pattern of Tb3SmHo2Er6 for Cu Kα, 1.54184 Å, from a GGA-PBE-relaxed structure.

Cell and atoms:
```
data_Tb3SmHo2Er6
_cell_length_a 6.1192
_cell_length_b 10.5882
_cell_length_c 11.6874
_cell_angle_alpha 90.00
_cell_angle_beta 100.00
_cell_angle_gamma 90.00
_symmetry_space_group_name_H-M 'C 1 2/m 1'
_symmetry_Int_Tables_number 12
loop_
_symmetry_equiv_pos_as_xyz
'x,y,z'
'-x,-y,-z'
'-x,y,-z'
'x,-y,z'
'x+1/2,y+1/2,z'
'-x+1/2,-y+1/2,-z'
'-x+1/2,y+1/2,-z'
'x+1/2,-y+1/2,z'
loop_
_atom_site_label
_atom_site_fract_x
_atom_site_fract_y
_atom_site_fract_z
Tb1 0.0000 0.0000 0.0000
Tb2 0.0000 0.3332 0.0000
Sm1 0.0000 0.5000 0.5000
Ho1 0.0000 0.1667 0.5000
Er1 0.2491 0.1669 0.2499
Er2 0.2501 0.0000 0.7500
```

Top 6 peaks for 2θ = 10–90°, low angle first:
(hkl), 2θ (°), I_rel
1 3 1, 31.04, 1000
2 0 2, 35.99, 506
1 3 5, 51.81, 300
4 0 0, 61.61, 250
2 0 6, 61.68, 178
3 3 7, 87.44, 112

***

Record 4
Theoretical powder X-ray diffraction pattern of SmHo2Er3Te6 for Cu Kα, 1.54184 Å, from a GGA-PBE-relaxed structure.

Cell and atoms:
```
data_SmHo2Er3Te6
_cell_length_a 18.9961
_cell_length_b 4.3203
_cell_length_c 8.7416
_cell_angle_alpha 90.00
_cell_angle_beta 103.91
_cell_angle_gamma 90.00
_symmetry_space_group_name_H-M 'C 1 2/m 1'
_symmetry_Int_Tables_number 12
loop_
_symmetry_equiv_pos_as_xyz
'x,y,z'
'-x,-y,-z'
'-x,y,-z'
'x,-y,z'
'x+1/2,y+1/2,z'
'-x+1/2,-y+1/2,-z'
'-x+1/2,y+1/2,-z'
'x+1/2,-y+1/2,z'
loop_
_atom_site_label
_atom_site_fract_x
_atom_site_fract_y
_atom_site_fract_z
Sm1 0.0000 0.0000 0.0000
Ho1 0.1638 0.5000 0.3275
Er1 0.0000 0.0000 0.5000
Er2 0.1628 0.5000 0.8315
Te1 0.0002 0.5000 0.2577
Te2 0.1677 0.0000 0.5829
Te3 0.1710 0.0000 0.0827
```

Top 6 peaks for 2θ = 10–90°, low angle first:
(hkl), 2θ (°), I_rel
1 1 -2, 29.06, 1000
2 0 -4, 41.31, 128
7 1 -2, 41.40, 254
0 2 0, 41.76, 373
6 2 0, 51.73, 133
2 2 -4, 60.24, 125

***

Record 5
Theoretical powder X-ray diffraction pattern of Sm2HoErTh for Cu Kα, 1.54184 Å, from a GGA-PBE-relaxed structure.

Cell and atoms:
```
data_Sm2HoErTh
_cell_length_a 6.2317
_cell_length_b 7.6856
_cell_length_c 7.0606
_cell_angle_alpha 90.00
_cell_angle_beta 90.00
_cell_angle_gamma 90.00
_symmetry_space_group_name_H-M 'P m m a'
_symmetry_Int_Tables_number 51
loop_
_symmetry_equiv_pos_as_xyz
'x,y,z'
'-x,-y,-z'
'-x+1/2,-y,z'
'x+1/2,y,-z'
'x+1/2,-y,-z'
'-x+1/2,y,z'
'-x,y,-z'
'x,-y,z'
loop_
_atom_site_label
_atom_site_fract_x
_atom_site_fract_y
_atom_site_fract_z
Sm1 0.2500 0.2053 0.1986
Ho1 0.0000 0.5000 0.5000
Er1 0.2500 0.0000 0.6529
Th1 0.2500 0.5000 0.9065
```

Top 6 peaks for 2θ = 10–90°, low angle first:
(hkl), 2θ (°), I_rel
0 1 2, 27.81, 339
2 0 0, 28.65, 313
1 2 1, 30.11, 1000
1 1 2, 31.37, 827
2 1 1, 33.53, 525
2 3 1, 47.73, 301

***

Record 6
Theoretical powder X-ray diffraction pattern of SmHoErTh for Cu Kα, 1.54184 Å, from a GGA-PBE-relaxed structure.

Cell and atoms:
```
data_SmHoErTh
_cell_length_a 3.5887
_cell_length_b 3.5887
_cell_length_c 34.3675
_cell_angle_alpha 90.00
_cell_angle_beta 90.00
_cell_angle_gamma 120.00
_symmetry_space_group_name_H-M 'R 3 m'
_symmetry_Int_Tables_number 160
_symmetry_space_group_name_Hall 'R 3 -2"'
loop_
_atom_site_label
_atom_site_fract_x
_atom_site_fract_y
_atom_site_fract_z
Sm1 0.0000 0.0000 0.0000
Ho1 0.0000 0.0000 0.2483
Er1 0.0000 0.0000 0.8320
Th1 0.0000 0.0000 0.4167
```

Top 6 peaks for 2θ = 10–90°, low angle first:
(hkl), 2θ (°), I_rel
0 1 2, 29.20, 369
0 0 12, 31.23, 461
0 1 5, 31.59, 1000
1 0 7, 34.14, 764
1 1 0, 50.89, 360
1 1 12, 60.93, 419

***

Record 7
Theoretical powder X-ray diffraction pattern of Sm2HoEr2Th2 for Cu Kα, 1.54184 Å, from a GGA-PBE-relaxed structure.

Cell and atoms:
```
data_Sm2HoEr2Th2
_cell_length_a 3.4829
_cell_length_b 5.6087
_cell_length_c 23.2057
_cell_angle_alpha 90.00
_cell_angle_beta 90.00
_cell_angle_gamma 90.00
_symmetry_space_group_name_H-M 'I m m m'
_symmetry_Int_Tables_number 71
_symmetry_space_group_name_Hall '-I 2 2'
loop_
_atom_site_label
_atom_site_fract_x
_atom_site_fract_y
_atom_site_fract_z
Sm1 0.0000 0.0000 0.1443
Ho1 0.0000 0.5000 0.5000
Er1 0.0000 0.0000 0.2907
Th1 0.0000 0.5000 0.0694
```

Top 6 peaks for 2θ = 10–90°, low angle first:
(hkl), 2θ (°), I_rel
1 1 2, 31.20, 880
0 1 7, 31.34, 1000
0 2 0, 31.91, 485
1 0 5, 32.13, 386
1 2 5, 45.92, 290
0 3 7, 56.47, 360

***

Record 8
Theoretical powder X-ray diffraction pattern of SmHo2ErTh for Cu Kα, 1.54184 Å, from a GGA-PBE-relaxed structure.

Cell and atoms:
```
data_SmHo2ErTh
_cell_length_a 3.5298
_cell_length_b 5.6060
_cell_length_c 8.6497
_cell_angle_alpha 90.00
_cell_angle_beta 90.06
_cell_angle_gamma 90.00
_symmetry_space_group_name_H-M 'P 1 2/m 1'
_symmetry_Int_Tables_number 10
loop_
_symmetry_equiv_pos_as_xyz
'x,y,z'
'-x,-y,-z'
'-x,y,-z'
'x,-y,z'
loop_
_atom_site_label
_atom_site_fract_x
_atom_site_fract_y
_atom_site_fract_z
Sm1 0.0000 0.0000 0.0000
Ho1 0.0008 0.5000 0.3214
Er1 0.5000 0.0000 0.5000
Th1 0.5000 0.5000 0.0000
```

Top 6 peaks for 2θ = 10–90°, low angle first:
(hkl), 2θ (°), I_rel
1 1 1, 31.69, 1000
0 2 0, 31.93, 396
0 1 3, 35.00, 258
1 1 -2, 36.56, 250
1 3 1, 56.75, 195
1 1 -5, 61.99, 203

***

What did the seventh record say?
Theoretical powder X-ray diffraction pattern of Sm2HoEr2Th2 for Cu Kα, 1.54184 Å, from a GGA-PBE-relaxed structure.

Cell and atoms:
```
data_Sm2HoEr2Th2
_cell_length_a 3.4829
_cell_length_b 5.6087
_cell_length_c 23.2057
_cell_angle_alpha 90.00
_cell_angle_beta 90.00
_cell_angle_gamma 90.00
_symmetry_space_group_name_H-M 'I m m m'
_symmetry_Int_Tables_number 71
_symmetry_space_group_name_Hall '-I 2 2'
loop_
_atom_site_label
_atom_site_fract_x
_atom_site_fract_y
_atom_site_fract_z
Sm1 0.0000 0.0000 0.1443
Ho1 0.0000 0.5000 0.5000
Er1 0.0000 0.0000 0.2907
Th1 0.0000 0.5000 0.0694
```

Top 6 peaks for 2θ = 10–90°, low angle first:
(hkl), 2θ (°), I_rel
1 1 2, 31.20, 880
0 1 7, 31.34, 1000
0 2 0, 31.91, 485
1 0 5, 32.13, 386
1 2 5, 45.92, 290
0 3 7, 56.47, 360

***

Repeat the fifth record exactly.
Theoretical powder X-ray diffraction pattern of Sm2HoErTh for Cu Kα, 1.54184 Å, from a GGA-PBE-relaxed structure.

Cell and atoms:
```
data_Sm2HoErTh
_cell_length_a 6.2317
_cell_length_b 7.6856
_cell_length_c 7.0606
_cell_angle_alpha 90.00
_cell_angle_beta 90.00
_cell_angle_gamma 90.00
_symmetry_space_group_name_H-M 'P m m a'
_symmetry_Int_Tables_number 51
loop_
_symmetry_equiv_pos_as_xyz
'x,y,z'
'-x,-y,-z'
'-x+1/2,-y,z'
'x+1/2,y,-z'
'x+1/2,-y,-z'
'-x+1/2,y,z'
'-x,y,-z'
'x,-y,z'
loop_
_atom_site_label
_atom_site_fract_x
_atom_site_fract_y
_atom_site_fract_z
Sm1 0.2500 0.2053 0.1986
Ho1 0.0000 0.5000 0.5000
Er1 0.2500 0.0000 0.6529
Th1 0.2500 0.5000 0.9065
```

Top 6 peaks for 2θ = 10–90°, low angle first:
(hkl), 2θ (°), I_rel
0 1 2, 27.81, 339
2 0 0, 28.65, 313
1 2 1, 30.11, 1000
1 1 2, 31.37, 827
2 1 1, 33.53, 525
2 3 1, 47.73, 301